For TiGaWO6, a structure optimized by DFT (PBE+U) gives the simulated powder diffractogram in this record (Cu Kα).

Top 10 peaks for 2θ = 10–80°, in order of rising 2θ:
- d 4.328, 20.5°, I 28, (1 0 0)
- d 3.114, 28.7°, I 100, (1 0 2)
- d 2.499, 35.9°, I 30, (1 1 0)
- d 2.183, 41.4°, I 7, (2 -1 2)
- d 1.990, 45.6°, I 7, (1 0 4)
- d 1.949, 46.6°, I 26, (2 0 2)
- d 1.669, 55.0°, I 32, (1 1 4)
- d 1.537, 60.2°, I 24, (3 -1 2)
- d 1.443, 64.6°, I 12, (3 0 0)
- d 1.412, 66.2°, I 9, (1 0 6)

Structural model:
Cell lengths 4.9980, 4.9980, 8.9651 Å; angles 90.00, 90.00, 120.00 degrees
Atoms (fractional coordinates):
Ti: 0.3333 0.6667 0.2500
Ti: 0.6667 0.3333 0.7500
Ga: 0.3333 0.6667 0.7500
Ga: 0.6667 0.3333 0.2500
W: 0.0000 0.0000 0.0000
W: 0.0000 0.0000 0.5000
O: 0.0057 0.3325 0.1293
O: 0.0057 0.6732 0.3707
O: 0.3268 0.3325 0.3707
O: 0.3268 0.9943 0.1293
O: 0.3325 0.0057 0.6293
O: 0.3325 0.3268 0.8707
O: 0.6675 0.6732 0.1293
O: 0.6675 0.9943 0.3707
O: 0.6732 0.0057 0.8707
O: 0.6732 0.6675 0.6293
O: 0.9943 0.3268 0.6293
O: 0.9943 0.6675 0.8707